# 1
Starting from DFT lattice parameters and positions (GGA-PBE), the XRD peak list of DyEr2Sc2 was computed for CuKα.
No peak broadening, texture or thermal motion is included.

Top 6 peaks for 10° ≤ 2θ ≤ 90°, in order of rising 2θ:
d = 2.863 Å, 2θ = 31.24°, rel. 100; d = 2.756 Å, 2θ = 32.49°, rel. 55; d = 2.660 Å, 2θ = 33.69°, rel. 47; d = 2.581 Å, 2θ = 34.75°, rel. 51; d = 2.335 Å, 2θ = 38.56°, rel. 52; d = 1.459 Å, 2θ = 63.77°, rel. 46

Structure:
```
data_DyEr2Sc2
_chemical_formula_sum 'Dy4 Er8 Sc8'
_cell_length_a 13.9168
_cell_length_b 6.8817
_cell_length_c 5.9605
_cell_angle_alpha 90.00
_cell_angle_beta 98.11
_cell_angle_gamma 90.00
_symmetry_space_group_name_H-M 'P 1'
_symmetry_Int_Tables_number 1
loop_
_symmetry_equiv_pos_as_xyz
'x,y,z'
loop_
_atom_site_label
_atom_site_fract_x
_atom_site_fract_y
_atom_site_fract_z
_atom_site_occupancy
Dy1 0.1966 0.1232 0.1503 1
Dy2 0.1966 0.3768 0.6503 1
Dy3 0.8034 0.6232 0.3497 1
Dy4 0.8034 0.8768 0.8497 1
Er1 0.1970 0.6268 0.1459 1
Er2 0.1970 0.8732 0.6459 1
Er3 0.4014 0.1242 0.8814 1
Er4 0.4014 0.3758 0.3814 1
Er5 0.5986 0.6242 0.6186 1
Er6 0.5986 0.8758 0.1186 1
Er7 0.8030 0.1268 0.3541 1
Er8 0.8030 0.3732 0.8541 1
Sc1 0.0002 0.1251 0.7501 1
Sc2 0.0002 0.3749 0.2501 1
Sc3 0.9998 0.6251 0.7499 1
Sc4 0.9998 0.8749 0.2499 1
Sc5 0.4004 0.6260 0.8853 1
Sc6 0.4004 0.8740 0.3853 1
Sc7 0.5996 0.1260 0.6147 1
Sc8 0.5996 0.3740 0.1147 1
```

=====

# 2
Starting from DFT lattice parameters and positions (GGA-PBE), the XRD peak list of Dy8Er2Sc3 was computed for CuKα.
No peak broadening, texture or thermal motion is included.

Top 6 peaks for 10° ≤ 2θ ≤ 90°, in order of rising 2θ:
d = 2.887 Å, 2θ = 30.98°, rel. 28; d = 2.808 Å, 2θ = 31.86°, rel. 40; d = 2.798 Å, 2θ = 31.99°, rel. 100; d = 2.785 Å, 2θ = 32.14°, rel. 57; d = 2.639 Å, 2θ = 33.97°, rel. 27; d = 1.610 Å, 2θ = 57.23°, rel. 23

Structure:
```
data_Dy8Er2Sc3
_chemical_formula_sum 'Dy8 Er2 Sc3'
_cell_length_a 8.5985
_cell_length_b 8.5985
_cell_length_c 5.9220
_cell_angle_alpha 108.22
_cell_angle_beta 108.22
_cell_angle_gamma 80.74
_symmetry_space_group_name_H-M 'P 1'
_symmetry_Int_Tables_number 1
loop_
_symmetry_equiv_pos_as_xyz
'x,y,z'
loop_
_atom_site_label
_atom_site_fract_x
_atom_site_fract_y
_atom_site_fract_z
_atom_site_occupancy
Dy1 0.0889 0.0889 0.2688 1
Dy2 0.1119 0.5763 0.8524 1
Dy3 0.3641 0.3641 0.3830 1
Dy4 0.4237 0.8881 0.1476 1
Dy5 0.5763 0.1119 0.8524 1
Dy6 0.6359 0.6359 0.6170 1
Dy7 0.8881 0.4237 0.1476 1
Dy8 0.9111 0.9111 0.7312 1
Er1 0.1799 0.1799 0.8367 1
Er2 0.8201 0.8201 0.1633 1
Sc1 0.2310 0.7690 0.5000 1
Sc2 0.5000 0.5000 0.0000 1
Sc3 0.7690 0.2310 0.5000 1
```

=====

# 3
Starting from DFT lattice parameters and positions (GGA-PBE), the XRD peak list of Dy6Er4Sc was computed for CuKα.
No peak broadening, texture or thermal motion is included.

Top 6 peaks for 10° ≤ 2θ ≤ 90°, in order of rising 2θ:
d = 3.102 Å, 2θ = 28.78°, rel. 42; d = 3.018 Å, 2θ = 29.59°, rel. 47; d = 2.849 Å, 2θ = 31.40°, rel. 100; d = 2.815 Å, 2θ = 31.78°, rel. 32; d = 2.567 Å, 2θ = 34.95°, rel. 74; d = 2.196 Å, 2θ = 41.10°, rel. 51

Structure:
```
data_Dy6Er4Sc
_chemical_formula_sum 'Dy6 Er4 Sc1'
_cell_length_a 9.6033
_cell_length_b 9.6033
_cell_length_c 9.6033
_cell_angle_alpha 140.67
_cell_angle_beta 140.67
_cell_angle_gamma 56.84
_symmetry_space_group_name_H-M 'P 1'
_symmetry_Int_Tables_number 1
loop_
_symmetry_equiv_pos_as_xyz
'x,y,z'
loop_
_atom_site_label
_atom_site_fract_x
_atom_site_fract_y
_atom_site_fract_z
_atom_site_occupancy
Dy1 0.0000 0.5000 0.5000 1
Dy2 0.0140 0.6429 0.0000 1
Dy3 0.3571 0.3571 0.3712 1
Dy4 0.5000 0.0000 0.5000 1
Dy5 0.6429 0.0140 0.0000 1
Dy6 0.9860 0.9860 0.6288 1
Er1 0.1884 0.1884 0.6409 1
Er2 0.4525 0.8116 0.0000 1
Er3 0.5475 0.5475 0.3591 1
Er4 0.8116 0.4525 0.0000 1
Sc1 0.0000 0.0000 0.0000 1
```

=====

# 4
Starting from DFT lattice parameters and positions (GGA-PBE), the XRD peak list of Dy3Er7Sc was computed for CuKα.
No peak broadening, texture or thermal motion is included.

Top 6 peaks for 10° ≤ 2θ ≤ 90°, in order of rising 2θ:
d = 2.902 Å, 2θ = 30.81°, rel. 37; d = 2.784 Å, 2θ = 32.15°, rel. 93; d = 2.724 Å, 2θ = 32.89°, rel. 100; d = 2.692 Å, 2θ = 33.29°, rel. 64; d = 2.656 Å, 2θ = 33.75°, rel. 30; d = 1.871 Å, 2θ = 48.66°, rel. 26

Structure:
```
data_Dy3Er7Sc
_chemical_formula_sum 'Dy3 Er7 Sc1'
_cell_length_a 6.7107
_cell_length_b 5.3835
_cell_length_c 9.7652
_cell_angle_alpha 90.00
_cell_angle_beta 104.22
_cell_angle_gamma 90.00
_symmetry_space_group_name_H-M 'P 1'
_symmetry_Int_Tables_number 1
loop_
_symmetry_equiv_pos_as_xyz
'x,y,z'
loop_
_atom_site_label
_atom_site_fract_x
_atom_site_fract_y
_atom_site_fract_z
_atom_site_occupancy
Dy1 0.0000 0.0000 0.0000 1
Dy2 0.2687 0.5000 0.4787 1
Dy3 0.7313 0.5000 0.5213 1
Er1 0.0000 0.0000 0.5000 1
Er2 0.1651 0.5000 0.7847 1
Er3 0.3146 0.5000 0.1238 1
Er4 0.4630 0.0000 0.3267 1
Er5 0.5370 0.0000 0.6733 1
Er6 0.6854 0.5000 0.8762 1
Er7 0.8349 0.5000 0.2153 1
Sc1 0.5000 0.0000 0.0000 1
```

=====

# 5
Starting from DFT lattice parameters and positions (GGA-PBE), the XRD peak list of DyErSc4 was computed for CuKα.
No peak broadening, texture or thermal motion is included.

Top 6 peaks for 10° ≤ 2θ ≤ 90°, in order of rising 2θ:
d = 8.722 Å, 2θ = 10.14°, rel. 49; d = 6.791 Å, 2θ = 13.04°, rel. 26; d = 2.817 Å, 2θ = 31.77°, rel. 33; d = 2.705 Å, 2θ = 33.11°, rel. 35; d = 2.565 Å, 2θ = 34.98°, rel. 100; d = 2.266 Å, 2θ = 39.77°, rel. 24

Structure:
```
data_DyErSc4
_chemical_formula_sum 'Dy2 Er2 Sc8'
_cell_length_a 8.8830
_cell_length_b 8.8830
_cell_length_c 10.8217
_cell_angle_alpha 90.00
_cell_angle_beta 90.00
_cell_angle_gamma 158.12
_symmetry_space_group_name_H-M 'P 1'
_symmetry_Int_Tables_number 1
loop_
_symmetry_equiv_pos_as_xyz
'x,y,z'
loop_
_atom_site_label
_atom_site_fract_x
_atom_site_fract_y
_atom_site_fract_z
_atom_site_occupancy
Dy1 0.1632 0.8368 0.5000 1
Dy2 0.8368 0.1632 0.0000 1
Er1 0.2798 0.7202 0.2565 1
Er2 0.7202 0.2798 0.7565 1
Sc1 0.0520 0.9480 0.7569 1
Sc2 0.1632 0.8368 0.0093 1
Sc3 0.3927 0.6073 0.7508 1
Sc4 0.4967 0.5033 0.5055 1
Sc5 0.5033 0.4967 0.0055 1
Sc6 0.6073 0.3927 0.2508 1
Sc7 0.8368 0.1632 0.5093 1
Sc8 0.9480 0.0520 0.2569 1
```

=====

# 6
Starting from DFT lattice parameters and positions (GGA-PBE), the XRD peak list of Dy6Er19Sc4 was computed for CuKα.
No peak broadening, texture or thermal motion is included.

Top 6 peaks for 10° ≤ 2θ ≤ 90°, in order of rising 2θ:
d = 3.263 Å, 2θ = 27.34°, rel. 95; d = 3.052 Å, 2θ = 29.26°, rel. 97; d = 2.877 Å, 2θ = 31.08°, rel. 85; d = 2.492 Å, 2θ = 36.04°, rel. 63; d = 2.394 Å, 2θ = 37.57°, rel. 100; d = 1.503 Å, 2θ = 61.73°, rel. 41

Structure:
```
data_Dy6Er19Sc4
_chemical_formula_sum 'Dy6 Er19 Sc4'
_cell_length_a 10.5718
_cell_length_b 10.5718
_cell_length_c 10.5718
_cell_angle_alpha 109.47
_cell_angle_beta 109.47
_cell_angle_gamma 109.47
_symmetry_space_group_name_H-M 'P 1'
_symmetry_Int_Tables_number 1
loop_
_symmetry_equiv_pos_as_xyz
'x,y,z'
loop_
_atom_site_label
_atom_site_fract_x
_atom_site_fract_y
_atom_site_fract_z
_atom_site_occupancy
Dy1 0.1289 0.6289 0.5000 1
Dy2 0.3711 0.5000 0.8711 1
Dy3 0.5000 0.1289 0.6289 1
Dy4 0.5000 0.8711 0.3711 1
Dy5 0.6289 0.5000 0.1289 1
Dy6 0.8711 0.3711 0.5000 1
Er1 0.0000 0.0000 0.0000 1
Er2 0.0000 0.2592 0.2592 1
Er3 0.0000 0.7408 0.7408 1
Er4 0.0180 0.8067 0.3427 1
Er5 0.1933 0.2113 0.5360 1
Er6 0.2113 0.5360 0.1933 1
Er7 0.2592 0.0000 0.2592 1
Er8 0.2592 0.2592 0.0000 1
Er9 0.3248 0.7887 0.9820 1
Er10 0.3427 0.0180 0.8067 1
Er11 0.4640 0.6752 0.6573 1
Er12 0.5360 0.1933 0.2113 1
Er13 0.6573 0.4640 0.6752 1
Er14 0.6752 0.6573 0.4640 1
Er15 0.7408 0.0000 0.7408 1
Er16 0.7408 0.7408 0.0000 1
Er17 0.7887 0.9820 0.3248 1
Er18 0.8067 0.3427 0.0180 1
Er19 0.9820 0.3248 0.7887 1
Sc1 0.0000 0.0000 0.6454 1
Sc2 0.0000 0.6454 0.0000 1
Sc3 0.3546 0.3546 0.3546 1
Sc4 0.6454 0.0000 0.0000 1
```

=====

# 7
Starting from DFT lattice parameters and positions (GGA-PBE), the XRD peak list of Dy2Er7Sc3 was computed for CuKα.
No peak broadening, texture or thermal motion is included.

Top 6 peaks for 10° ≤ 2θ ≤ 90°, in order of rising 2θ:
d = 2.852 Å, 2θ = 31.36°, rel. 32; d = 2.775 Å, 2θ = 32.26°, rel. 33; d = 2.764 Å, 2θ = 32.40°, rel. 69; d = 2.736 Å, 2θ = 32.73°, rel. 100; d = 2.570 Å, 2θ = 34.92°, rel. 54; d = 2.510 Å, 2θ = 35.77°, rel. 41

Structure:
```
data_Dy2Er7Sc3
_chemical_formula_sum 'Dy2 Er7 Sc3'
_cell_length_a 18.5235
_cell_length_b 18.5235
_cell_length_c 3.4881
_cell_angle_alpha 90.00
_cell_angle_beta 90.00
_cell_angle_gamma 162.84
_symmetry_space_group_name_H-M 'P 1'
_symmetry_Int_Tables_number 1
loop_
_symmetry_equiv_pos_as_xyz
'x,y,z'
loop_
_atom_site_label
_atom_site_fract_x
_atom_site_fract_y
_atom_site_fract_z
_atom_site_occupancy
Dy1 0.1488 0.8512 0.0000 1
Dy2 0.8512 0.1488 0.0000 1
Er1 0.0000 0.0000 0.0000 1
Er2 0.0716 0.9284 0.5000 1
Er3 0.2319 0.7681 0.0000 1
Er4 0.4083 0.5917 0.0000 1
Er5 0.5917 0.4083 0.0000 1
Er6 0.7681 0.2319 0.0000 1
Er7 0.9284 0.0716 0.5000 1
Sc1 0.3139 0.6861 0.5000 1
Sc2 0.5000 0.5000 0.5000 1
Sc3 0.6861 0.3139 0.5000 1
```

=====

# 8
Starting from DFT lattice parameters and positions (GGA-PBE), the XRD peak list of Dy8ErSc5 was computed for CuKα.
No peak broadening, texture or thermal motion is included.

Top 6 peaks for 10° ≤ 2θ ≤ 90°, in order of rising 2θ:
d = 3.813 Å, 2θ = 23.33°, rel. 93; d = 3.083 Å, 2θ = 28.96°, rel. 100; d = 2.926 Å, 2θ = 30.55°, rel. 84; d = 2.566 Å, 2θ = 34.97°, rel. 95; d = 2.513 Å, 2θ = 35.73°, rel. 97; d = 2.483 Å, 2θ = 36.18°, rel. 90

Structure:
```
data_Dy8ErSc5
_chemical_formula_sum 'Dy8 Er1 Sc5'
_cell_length_a 8.1773
_cell_length_b 8.1773
_cell_length_c 8.1773
_cell_angle_alpha 111.09
_cell_angle_beta 111.09
_cell_angle_gamma 106.28
_symmetry_space_group_name_H-M 'P 1'
_symmetry_Int_Tables_number 1
loop_
_symmetry_equiv_pos_as_xyz
'x,y,z'
loop_
_atom_site_label
_atom_site_fract_x
_atom_site_fract_y
_atom_site_fract_z
_atom_site_occupancy
Dy1 0.0807 0.3367 0.6049 1
Dy2 0.1584 0.4218 0.0778 1
Dy3 0.3441 0.0807 0.9222 1
Dy4 0.5242 0.9193 0.2560 1
Dy5 0.5782 0.6559 0.7366 1
Dy6 0.6633 0.2682 0.7440 1
Dy7 0.7318 0.4758 0.3951 1
Dy8 0.9193 0.8416 0.2634 1
Er1 0.2500 0.7500 0.5000 1
Sc1 0.0375 0.7252 0.9061 1
Sc2 0.2748 0.1810 0.3123 1
Sc3 0.5000 0.5000 0.0000 1
Sc4 0.8190 0.1313 0.0939 1
Sc5 0.8687 0.9625 0.6877 1
```